# 1
Diffraction record for Tm2InAu4. The powder XRD pattern is calculated, not measured: it uses a structure optimized by DFT (GGA-PBE) and λ = 1.5418 Å (Cu Kα).
Intensities are scaled so that the largest is 100.

Cell and atoms:
Cell: 4.8427 4.8427 23.7767 Å, 90.00 90.00 120.00°
Space group R-3m (No. 166, hexagonal axes)
One atom of each set of equivalent atoms:
Tm (0.0000, 0.0000, 0.2486) (multiplicity 6)
In (0.0000, 0.0000, 0.0000) (multiplicity 3)
Au (0.0000, 0.0000, 0.1274) (multiplicity 6)
Au (0.0000, 0.0000, 0.3772) (multiplicity 6)

Largest 10 diffraction maxima, by angle, 2θ = 10–90°:
two_theta, Rel. int., hkl
22.5, 7, 0 1 2
26.0, 9, 1 0 4
37.1, 100, 1 1 0
43.8, 4, 1 0 10
53.5, 18, 2 0 8
60.4, 4, 2 1 4
66.8, 9, 1 0 16
66.9, 27, 3 0 0
79.0, 6, 0 2 16
79.1, 6, 2 2 0

# 2
Diffraction record for Tm6In3Au. The powder XRD pattern is calculated, not measured: it uses a structure optimized by DFT (GGA-PBE) and λ = 1.5418 Å (Cu Kα).
Intensities are scaled so that the largest is 100.

Cell and atoms:
Cell: 9.0642 5.2049 11.6239 Å, 90.00 107.94 90.00°
Space group P2_1/m (No. 11)
One atom of each set of equivalent atoms:
Tm (0.0353, 0.2500, 0.4155) (multiplicity 2)
Tm (0.1705, 0.7500, 0.1642) (multiplicity 2)
Tm (0.2749, 0.2500, 0.0038) (multiplicity 2)
Tm (0.3492, 0.7500, 0.8150) (multiplicity 2)
Tm (0.3596, 0.2500, 0.3286) (multiplicity 2)
Tm (0.3982, 0.2500, 0.6248) (multiplicity 2)
In (0.0226, 0.7500, 0.8787) (multiplicity 2)
In (0.1165, 0.2500, 0.7193) (multiplicity 2)
In (0.2765, 0.7500, 0.4664) (multiplicity 2)
Au (0.4643, 0.7500, 0.1190) (multiplicity 2)

Largest 10 diffraction maxima, by angle, 2θ = 10–90°:
two_theta, Rel. int., hkl
31.7, 14, 2 1 -3
32.7, 35, 2 0 -4
33.9, 100, 1 1 3
34.4, 83, 3 1 -1
34.5, 56, 0 2 0
48.2, 23, 2 2 -4
49.9, 14, 4 0 2
61.4, 21, 1 3 3
61.7, 19, 3 3 -1
62.1, 16, 4 2 2

# 3
Diffraction record for Tm8InAu2. The powder XRD pattern is calculated, not measured: it uses a structure optimized by DFT (GGA-PBE) and λ = 1.5418 Å (Cu Kα).
Intensities are scaled so that the largest is 100.

Cell and atoms:
Cell: 8.7069 13.8042 5.3583 Å, 90.00 107.58 90.00°
Space group C2/m (No. 12)
One atom of each set of equivalent atoms:
Tm (0.0000, 0.2339, 0.0000) (multiplicity 4)
Tm (0.1055, 0.5000, 0.8027) (multiplicity 4)
Tm (0.2083, 0.1207, 0.5934) (multiplicity 8)
In (0.0000, 0.0000, 0.0000) (multiplicity 2)
Au (0.0000, 0.3046, 0.5000) (multiplicity 4)

Largest 10 diffraction maxima, by angle, 2θ = 10–90°:
two_theta, Rel. int., hkl
30.2, 54, 1 3 1
31.3, 93, 0 4 1
31.6, 50, 2 0 1
32.5, 99, 3 1 -1
33.8, 100, 2 4 0
34.1, 50, 1 1 -2
37.0, 81, 1 5 -1
37.5, 43, 0 2 2
37.9, 35, 3 3 0
63.1, 55, 2 8 1

# 4
Diffraction record for UInAu6. The powder XRD pattern is calculated, not measured: it uses a structure optimized by DFT (GGA-PBE) and λ = 1.5418 Å (Cu Kα).
Intensities are scaled so that the largest is 100.

Cell and atoms:
Cell: 9.2676 4.5819 8.4759 Å, 90.00 117.02 90.00°
Space group C2/m (No. 12)
One atom of each set of equivalent atoms:
U (0.0000, 0.0000, 0.0000) (multiplicity 2)
In (0.0000, 0.0000, 0.5000) (multiplicity 2)
Au (0.0218, 0.5000, 0.7602) (multiplicity 4)
Au (0.2444, 0.5000, 0.1432) (multiplicity 4)
Au (0.2477, 0.0000, 0.3880) (multiplicity 4)

Largest 10 diffraction maxima, by angle, 2θ = 10–90°:
two_theta, Rel. int., hkl
36.2, 100, 1 1 2
39.3, 21, 0 2 0
42.7, 15, 2 0 -4
43.9, 14, 4 0 0
59.4, 11, 2 2 -4
60.4, 11, 4 2 0
69.2, 8, 1 3 2
69.3, 8, 3 3 -2
73.8, 5, 1 1 -6
75.5, 6, 5 1 2

# 5
Diffraction record for UInAu4. The powder XRD pattern is calculated, not measured: it uses a structure optimized by DFT (GGA-PBE) and λ = 1.5418 Å (Cu Kα).
Intensities are scaled so that the largest is 100.

Cell and atoms:
Cell: 5.1252 5.0540 5.4387 Å, 90.00 117.94 90.00°
Space group P2/m (No. 10)
One atom of each set of equivalent atoms:
U (0.0000, 0.0000, 0.0000) (multiplicity 1)
In (0.5000, 0.5000, 0.0000) (multiplicity 1)
Au (0.1764, 0.5000, 0.3496) (multiplicity 2)
Au (0.3311, 0.0000, 0.6622) (multiplicity 2)

Largest 10 diffraction maxima, by angle, 2θ = 10–90°:
two_theta, Rel. int., hkl
35.0, 31, 2 0 -1
35.5, 29, 0 2 0
37.6, 100, 1 1 -2
50.7, 22, 2 2 -1
57.5, 7, 0 0 3
64.4, 11, 3 1 0
64.6, 11, 3 1 -3
65.2, 20, 1 3 -2
69.5, 8, 0 2 3
80.3, 6, 2 2 -4

# 6
Diffraction record for U2InAu6. The powder XRD pattern is calculated, not measured: it uses a structure optimized by DFT (GGA-PBE) and λ = 1.5418 Å (Cu Kα).
Intensities are scaled so that the largest is 100.

Cell and atoms:
Cell: 8.4346 8.4346 9.1510 Å, 90.00 90.00 120.00°
Space group R-3m (No. 166, hexagonal axes)
One atom of each set of equivalent atoms:
U (0.0000, 0.0000, 0.1471) (multiplicity 6)
In (0.0000, 0.0000, 0.5000) (multiplicity 3)
Au (0.0000, 0.3356, 0.0000) (multiplicity 18)

Largest 10 diffraction maxima, by angle, 2θ = 10–90°:
two_theta, Rel. int., hkl
29.3, 8, 0 0 3
36.3, 87, 1 1 3
36.9, 100, 3 0 0
47.8, 13, 3 0 3
52.8, 30, 2 2 3
66.1, 31, 4 1 3
66.5, 18, 3 3 0
73.2, 25, 3 0 6
78.6, 12, 6 0 0
89.8, 15, 5 2 3

# 7
Diffraction record for YIn2Au2. The powder XRD pattern is calculated, not measured: it uses a structure optimized by DFT (GGA-PBE) and λ = 1.5418 Å (Cu Kα).
Intensities are scaled so that the largest is 100.

Cell and atoms:
Cell: 4.9090 4.9415 9.8747 Å, 90.00 90.00 90.00°
Space group Pmmn (No. 59, origin choice 2)
One atom of each set of equivalent atoms:
Y (0.2500, 0.2500, 0.1762) (multiplicity 2)
In (0.2500, 0.2500, 0.5100) (multiplicity 2)
In (0.2500, 0.2500, 0.8284) (multiplicity 2)
Au (0.2500, 0.7500, 0.0148) (multiplicity 2)
Au (0.2500, 0.7500, 0.6545) (multiplicity 2)

Largest 10 diffraction maxima, by angle, 2θ = 10–90°:
two_theta, Rel. int., hkl
20.2, 14, 1 0 1
25.5, 28, 0 1 2
36.4, 29, 0 2 0
36.6, 28, 2 0 0
37.6, 100, 1 1 3
52.6, 20, 2 2 0
66.2, 19, 1 3 3
66.6, 18, 3 1 3
80.3, 11, 2 2 6
89.5, 9, 3 3 3

# 8
Diffraction record for YInAu6. The powder XRD pattern is calculated, not measured: it uses a structure optimized by DFT (GGA-PBE) and λ = 1.5418 Å (Cu Kα).
Intensities are scaled so that the largest is 100.

Cell and atoms:
Cell: 9.4674 4.4177 8.3754 Å, 90.00 116.24 90.00°
Space group C2/m (No. 12)
One atom of each set of equivalent atoms:
Y (0.0000, 0.0000, 0.0000) (multiplicity 2)
In (0.0000, 0.0000, 0.5000) (multiplicity 2)
Au (0.0106, 0.5000, 0.7515) (multiplicity 4)
Au (0.2452, 0.0000, 0.3800) (multiplicity 4)
Au (0.2446, 0.5000, 0.1308) (multiplicity 4)

Largest 10 diffraction maxima, by angle, 2θ = 10–90°:
two_theta, Rel. int., hkl
36.4, 100, 1 1 2
40.9, 18, 0 2 0
42.6, 16, 4 0 0
43.2, 15, 2 0 -4
60.5, 11, 4 2 0
61.0, 11, 2 2 -4
71.5, 14, 1 3 2
73.9, 12, 5 1 2
74.7, 12, 1 1 -6
77.2, 11, 2 2 4